[1]
For Ba3CeSe4, a GGA-PBE-relaxed structure gives the calculated powder diffractogram in this record (λ = 1.5418 Å (Cu Kα)).
Peak positions follow from Bragg's law for the DFT cell and can differ from measured ones.

Atomic structure:
```
Ba3CeSe4
1.0
9.231 0.000 0.000
0.000 12.994 0.000
0.000 0.000 4.570
Ba Ce Se
6 2 8
Direct
0.000 0.000 0.000
0.250 0.250 0.500
0.250 0.750 0.500
0.500 0.500 0.000
0.750 0.250 0.500
0.750 0.750 0.500
0.000 0.500 0.000
0.500 0.000 0.000
0.000 0.263 0.000
0.000 0.737 0.000
0.229 0.500 0.500
0.271 0.000 0.500
0.500 0.237 0.000
0.500 0.763 0.000
0.729 0.000 0.500
0.771 0.500 0.500
```

Main lines, by angle (2θ from 15° to 90°):
| two_theta | d [Å] | I_rel |
| --- | --- | --- |
| 27.5 | 3.248 | 100.0 |
| 39.0 | 2.308 | 12.5 |
| 39.2 | 2.297 | 50.0 |
| 39.4 | 2.285 | 12.7 |
| 48.4 | 1.881 | 13.1 |
| 48.7 | 1.869 | 13.5 |
| 56.7 | 1.624 | 12.3 |
| 64.1 | 1.453 | 22.2 |
| 70.8 | 1.330 | 7.9 |
| 71.4 | 1.321 | 8.5 |

[2]
For Ba3Ce3SmSe8, a GGA-PBE-relaxed structure gives the calculated powder diffractogram in this record (λ = 1.5418 Å (Cu Kα)).
Peak positions follow from Bragg's law for the DFT cell and can differ from measured ones.

Atomic structure:
```
Ba3Ce3SmSe8
1.0
4.339 2.505 7.569
-4.339 2.505 7.569
0.000 -5.011 7.569
Ba Ce Sm Se
3 3 1 8
Direct
0.000 0.500 0.500
0.500 0.000 0.500
0.500 0.500 0.000
0.000 0.000 0.500
0.000 0.500 0.000
0.500 0.000 0.000
0.500 0.500 0.500
0.241 0.241 0.241
0.242 0.737 0.737
0.263 0.263 0.758
0.263 0.758 0.263
0.737 0.242 0.737
0.737 0.737 0.242
0.758 0.263 0.263
0.759 0.759 0.759
```

Main lines, by angle (2θ from 15° to 90°):
| two_theta | d [Å] | I_rel |
| --- | --- | --- |
| 28.5 | 3.134 | 100.0 |
| 39.8 | 2.265 | 37.0 |
| 41.6 | 2.170 | 36.7 |
| 48.1 | 1.892 | 6.6 |
| 51.2 | 1.784 | 19.3 |
| 58.9 | 1.567 | 11.6 |
| 65.4 | 1.426 | 14.8 |
| 68.0 | 1.378 | 16.4 |
| 74.7 | 1.270 | 11.6 |
| 76.0 | 1.253 | 6.2 |

[3]
For BaCe4Te6, a GGA-PBE-relaxed structure gives the calculated powder diffractogram in this record (λ = 1.5418 Å (Cu Kα)).
Peak positions follow from Bragg's law for the DFT cell and can differ from measured ones.

Atomic structure:
```
BaCe4Te6
1.0
2.286 -7.399 0.000
2.286 7.399 0.000
0.000 0.000 23.319
Ba Ce Te
2 8 12
Direct
0.163 0.837 0.750
0.837 0.163 0.250
0.092 0.908 0.125
0.092 0.908 0.375
0.361 0.639 0.038
0.361 0.639 0.462
0.639 0.361 0.538
0.639 0.361 0.962
0.908 0.092 0.625
0.908 0.092 0.875
0.000 0.000 0.000
0.000 0.000 0.500
0.162 0.838 0.250
0.268 0.732 0.588
0.268 0.732 0.912
0.455 0.545 0.160
0.455 0.545 0.340
0.545 0.455 0.660
0.545 0.455 0.840
0.732 0.268 0.088
0.732 0.268 0.412
0.838 0.162 0.750
```

Main lines, by angle (2θ from 15° to 90°):
| two_theta | d [Å] | I_rel |
| --- | --- | --- |
| 25.9 | 3.441 | 55.2 |
| 26.9 | 3.319 | 56.7 |
| 27.7 | 3.222 | 100.0 |
| 29.0 | 3.079 | 52.8 |
| 29.4 | 3.038 | 28.9 |
| 37.1 | 2.425 | 35.1 |
| 39.4 | 2.286 | 75.8 |
| 39.7 | 2.272 | 28.0 |
| 41.2 | 2.193 | 24.6 |
| 47.8 | 1.904 | 22.4 |

[4]
For BaCe2Te4, a GGA-PBE-relaxed structure gives the calculated powder diffractogram in this record (λ = 1.5418 Å (Cu Kα)).
Peak positions follow from Bragg's law for the DFT cell and can differ from measured ones.

Atomic structure:
```
BaCe2Te4
1.0
2.302 -7.485 0.000
2.302 7.485 0.000
0.000 0.000 15.613
Ba Ce Te
2 4 8
Direct
0.110 0.890 0.750
0.890 0.110 0.250
0.366 0.634 0.564
0.366 0.634 0.936
0.634 0.366 0.064
0.634 0.366 0.436
0.000 0.000 0.000
0.000 0.000 0.500
0.270 0.730 0.117
0.270 0.730 0.383
0.439 0.561 0.750
0.561 0.439 0.250
0.730 0.270 0.617
0.730 0.270 0.883
```

Main lines, by angle (2θ from 15° to 90°):
| two_theta | d [Å] | I_rel |
| --- | --- | --- |
| 20.8 | 4.273 | 30.3 |
| 25.7 | 3.461 | 63.2 |
| 26.3 | 3.383 | 29.7 |
| 27.0 | 3.307 | 100.0 |
| 28.8 | 3.104 | 68.8 |
| 35.2 | 2.546 | 48.2 |
| 39.1 | 2.302 | 37.8 |
| 39.9 | 2.261 | 37.9 |
| 40.1 | 2.250 | 29.4 |
| 47.4 | 1.917 | 25.9 |

[5]
For BaCl, a GGA-PBE-relaxed structure gives the calculated powder diffractogram in this record (λ = 1.5418 Å (Cu Kα)).
Peak positions follow from Bragg's law for the DFT cell and can differ from measured ones.

Atomic structure:
```
BaCl
1.0
0.000 5.184 7.123
5.173 0.000 7.123
5.173 5.184 0.000
Ba Cl
4 4
Direct
0.122 0.628 0.628
0.372 0.878 0.878
0.628 0.122 0.122
0.878 0.372 0.372
0.246 0.246 0.504
0.496 0.496 0.754
0.504 0.504 0.246
0.754 0.754 0.496
```

Main lines, by angle (2θ from 15° to 90°):
| two_theta | d [Å] | I_rel |
| --- | --- | --- |
| 21.2 | 4.188 | 100.0 |
| 24.3 | 3.662 | 18.2 |
| 25.0 | 3.561 | 8.6 |
| 34.6 | 2.589 | 23.2 |
| 35.2 | 2.553 | 44.4 |
| 41.0 | 2.202 | 35.7 |
| 41.9 | 2.158 | 16.9 |
| 55.4 | 1.658 | 14.7 |
| 62.4 | 1.488 | 15.8 |
| 66.4 | 1.408 | 8.5 |

[6]
For Ba4Cl5, a GGA-PBE-relaxed structure gives the calculated powder diffractogram in this record (λ = 1.5418 Å (Cu Kα)).
Peak positions follow from Bragg's law for the DFT cell and can differ from measured ones.

Atomic structure:
```
Ba4Cl5
1.0
-5.867 5.867 2.333
5.867 -5.867 2.333
5.867 5.867 -2.333
Ba Cl
4 5
Direct
0.000 0.265 0.265
0.000 0.735 0.735
0.265 0.000 0.265
0.735 0.000 0.735
0.000 0.000 0.000
0.325 0.325 0.650
0.325 0.675 0.000
0.675 0.325 0.000
0.675 0.675 0.350
```

Main lines, by angle (2θ from 15° to 90°):
| two_theta | d [Å] | I_rel |
| --- | --- | --- |
| 20.5 | 4.335 | 40.9 |
| 21.4 | 4.148 | 77.4 |
| 25.5 | 3.487 | 46.8 |
| 29.8 | 2.997 | 100.0 |
| 30.5 | 2.933 | 44.3 |
| 33.6 | 2.669 | 30.2 |
| 37.0 | 2.429 | 32.0 |
| 43.2 | 2.096 | 26.8 |
| 44.6 | 2.033 | 23.4 |
| 49.1 | 1.855 | 25.3 |

[7]
For BaCl5, a GGA-PBE-relaxed structure gives the calculated powder diffractogram in this record (λ = 1.5418 Å (Cu Kα)).
Peak positions follow from Bragg's law for the DFT cell and can differ from measured ones.

Atomic structure:
```
BaCl5
1.0
4.777 0.000 0.000
0.000 16.344 0.000
-2.373 0.000 5.158
Ba Cl
2 10
Direct
0.162 0.250 0.326
0.838 0.750 0.674
0.105 0.549 0.138
0.105 0.951 0.138
0.279 0.625 0.554
0.279 0.875 0.554
0.465 0.250 0.931
0.535 0.750 0.069
0.721 0.125 0.446
0.721 0.375 0.446
0.895 0.049 0.862
0.895 0.451 0.862
```

Main lines, by angle (2θ from 15° to 90°):
| two_theta | d [Å] | I_rel |
| --- | --- | --- |
| 18.0 | 4.919 | 32.2 |
| 20.5 | 4.334 | 17.5 |
| 21.8 | 4.086 | 14.5 |
| 23.8 | 3.745 | 27.6 |
| 26.3 | 3.392 | 100.0 |
| 33.9 | 2.641 | 40.6 |
| 34.4 | 2.610 | 25.7 |
| 35.2 | 2.547 | 20.9 |
| 37.7 | 2.389 | 22.3 |
| 39.1 | 2.305 | 33.4 |

[8]
For BaCl7, a GGA-PBE-relaxed structure gives the calculated powder diffractogram in this record (λ = 1.5418 Å (Cu Kα)).
Peak positions follow from Bragg's law for the DFT cell and can differ from measured ones.

Atomic structure:
```
BaCl7
1.0
0.000 4.700 4.700
4.700 0.000 4.700
4.700 4.700 0.000
Ba Cl
1 7
Direct
0.000 0.000 0.000
0.000 0.000 0.500
0.000 0.500 0.000
0.000 0.500 0.500
0.500 0.000 0.000
0.500 0.000 0.500
0.500 0.500 0.000
0.500 0.500 0.500
```

Main lines, by angle (2θ from 15° to 90°):
| two_theta | d [Å] | I_rel |
| --- | --- | --- |
| 16.3 | 5.427 | 32.4 |
| 18.9 | 4.700 | 17.5 |
| 26.8 | 3.323 | 15.6 |
| 31.6 | 2.834 | 20.9 |
| 33.0 | 2.713 | 100.0 |
| 38.3 | 2.350 | 47.9 |
| 41.9 | 2.156 | 9.9 |
| 55.3 | 1.662 | 29.7 |
| 65.9 | 1.417 | 34.1 |
| 69.3 | 1.357 | 9.8 |